Structure and calculated X-ray powder pattern of NiSnHgOs (a DFT-relaxed cell (PBE, OQMD); CuKα).
Lines closer than 0.1° are merged.

```
data_NiSnHgOs
_chemical_formula_sum 'Ni4 Sn4 Hg4 Os4'
_symmetry_space_group_name_H-M 'F -4 3 m'
_symmetry_Int_Tables_number 216
_symmetry_space_group_name_Hall 'F -4 2 3'
_cell_length_a 6.4847
_cell_length_b 6.4847
_cell_length_c 6.4847
_cell_angle_alpha 90.00
_cell_angle_beta 90.00
_cell_angle_gamma 90.00
loop_
_atom_site_label
_atom_site_type_symbol
_atom_site_fract_x
_atom_site_fract_y
_atom_site_fract_z
Ni1 Ni 0.0000 0.0000 0.0000
Sn1 Sn 0.2500 0.2500 0.7500
Hg1 Hg 0.0000 0.0000 0.5000
Os1 Os 0.2500 0.2500 0.2500
```

Most intense lines, 15 to 90 degrees two-theta, sorted by position:
two_theta, I (rel.), index
23.77, 16, 1 1 1
39.30, 100, 2 2 0
46.44, 9, 3 1 1
56.79, 17, 4 0 0
62.42, 4, 3 3 1
71.24, 35, 4 2 2
84.52, 12, 4 4 0
89.39, 3, 5 3 1



Structure and calculated X-ray powder pattern of BaPrO3 (a DFT-relaxed cell (PBE, OQMD); CuKα).
Lines closer than 0.1° are merged.

```
data_BaPrO3
_chemical_formula_sum 'Ba6 Pr6 O18'
_symmetry_space_group_name_H-M 'R -3 c'
_symmetry_Int_Tables_number 167
_symmetry_space_group_name_Hall '-R 3 2"c'
_cell_length_a 6.4264
_cell_length_b 6.4264
_cell_length_c 15.4056
_cell_angle_alpha 90.00
_cell_angle_beta 90.00
_cell_angle_gamma 120.00
loop_
_atom_site_label
_atom_site_type_symbol
_atom_site_fract_x
_atom_site_fract_y
_atom_site_fract_z
Ba1 Ba 0.0000 0.0000 0.2500
Pr1 Pr 0.0000 0.0000 0.0000
O1 O 0.0000 0.4122 0.2500
```

Most intense lines, 15 to 90 degrees two-theta, sorted by position:
two_theta, I (rel.), index
27.76, 96, 1 1 0
28.18, 100, 1 0 4
39.97, 53, 0 2 4
49.11, 27, 3 0 0
49.36, 45, 2 1 4
50.13, 21, 0 1 8
65.10, 18, 1 3 4
65.74, 19, 1 2 8



Structure and calculated X-ray powder pattern of YHoCu2Pb (a DFT-relaxed cell (PBE, OQMD); CuKα).
Lines closer than 0.1° are merged.

```
data_YHoCu2Pb
_chemical_formula_sum 'Y2 Ho2 Cu4 Pb2'
_symmetry_space_group_name_H-M 'A m m 2'
_symmetry_Int_Tables_number 38
_cell_length_a 3.6771
_cell_length_b 4.2340
_cell_length_c 13.9931
_cell_angle_alpha 90.00
_cell_angle_beta 90.00
_cell_angle_gamma 90.00
loop_
_symmetry_equiv_pos_as_xyz
'x,y,z'
'-x,-y,z'
'-x,y,z'
'x,-y,z'
'x,y+1/2,z+1/2'
'-x,-y+1/2,z+1/2'
'-x,y+1/2,z+1/2'
'x,-y+1/2,z+1/2'
loop_
_atom_site_label
_atom_site_type_symbol
_atom_site_fract_x
_atom_site_fract_y
_atom_site_fract_z
Y1 Y 0.0000 0.0000 0.0000
Ho1 Ho 0.0000 0.0000 0.7302
Cu1 Cu 0.5000 0.0000 0.1630
Cu2 Cu 0.5000 0.0000 0.5700
Pb1 Pb 0.5000 0.0000 0.3656
```

Most intense lines, 15 to 90 degrees two-theta, sorted by position:
two_theta, I (rel.), index
28.47, 40, 0 1 3
32.89, 100, 1 1 1
35.42, 61, 1 0 4
38.57, 50, 0 1 5
42.71, 25, 0 2 0
49.58, 16, 2 0 0
56.68, 44, 1 2 4
64.52, 22, 2 1 5



Question: Number 3 is which compound?
Answer: YHoCu2Pb